Simulated PXRD pattern
Compound: LuPaRu2
Radiation: Cu Kα (λ = 1.5418 Å)
Structure: a crystal structure in the Materials Project, relaxed with PBE
Lines closer than 0.1° are merged.

Most intense lines, 2θ from 10° to 80°, sorted by position:
2theta  I/Imax
22.68  1.7
26.24  12.2
37.45  100.0
44.23  1.0
46.31  3.9
54.01  17.5
61.01  5.4
67.57  35.7
79.90  11.2

Structure:
abc: 4.8023 4.8023 4.8023
angles: 60.00 60.00 60.00
Positions (direct):
1 Lu 0.0000 0.0000 0.0000
2 Pa 0.5000 0.5000 0.5000
3 Ru 0.2500 0.2500 0.2500
4 Ru 0.7500 0.7500 0.7500


Simulated PXRD pattern
Compound: MgBi3O7
Radiation: Cu Kα (λ = 1.5418 Å)
Structure: a crystal structure in the Materials Project, relaxed with PBE
Lines closer than 0.1° are merged.

Most intense lines, 2θ from 10° to 80°, sorted by position:
2theta  I/Imax
17.82  25.2
28.25  100.0
29.76  11.0
31.94  10.8
33.07  20.0
33.16  15.4
46.68  21.3
47.52  20.3
56.18  13.1
56.27  15.1

Structure:
abc: 10.8079 10.8293 5.6039
angles: 90.00 90.00 90.00
Positions (direct):
1 Mg 0.1381 0.2500 0.1904
2 Mg 0.3619 0.7500 0.6904
3 Mg 0.6381 0.2500 0.3096
4 Mg 0.8619 0.7500 0.8096
5 Bi 0.1279 0.0165 0.6837
6 Bi 0.1279 0.4835 0.6837
7 Bi 0.1404 0.7500 0.2319
8 Bi 0.3596 0.2500 0.7319
9 Bi 0.3721 0.5165 0.1837
10 Bi 0.3721 0.9835 0.1837
11 Bi 0.6279 0.0165 0.8163
12 Bi 0.6279 0.4835 0.8163
13 Bi 0.6404 0.7500 0.2681
14 Bi 0.8596 0.2500 0.7681
15 Bi 0.8721 0.5165 0.3163
16 Bi 0.8721 0.9835 0.3163
17 O 0.0439 0.1000 0.3540
18 O 0.0439 0.4000 0.3540
19 O 0.0475 0.2500 0.8427
20 O 0.2091 0.6189 0.9900
21 O 0.2091 0.8811 0.9900
22 O 0.2299 0.6290 0.4860
23 O 0.2299 0.8710 0.4860
24 O 0.2701 0.1290 0.9860
25 O 0.2701 0.3710 0.9860
26 O 0.2909 0.1189 0.4900
27 O 0.2909 0.3811 0.4900
28 O 0.4525 0.7500 0.3427
29 O 0.4561 0.6000 0.8540
30 O 0.4561 0.9000 0.8540
31 O 0.5439 0.1000 0.1460
32 O 0.5439 0.4000 0.1460
33 O 0.5475 0.2500 0.6573
34 O 0.7091 0.6189 0.5100
35 O 0.7091 0.8811 0.5100
36 O 0.7299 0.6290 0.0140
37 O 0.7299 0.8710 0.0140
38 O 0.7701 0.1290 0.5140
39 O 0.7701 0.3710 0.5140
40 O 0.7909 0.1189 0.0100
41 O 0.7909 0.3811 0.0100
42 O 0.9525 0.7500 0.1573
43 O 0.9561 0.6000 0.6460
44 O 0.9561 0.9000 0.6460


Simulated PXRD pattern
Compound: Na2PtO3
Radiation: Cu Kα (λ = 1.5418 Å)
Structure: a crystal structure in the Materials Project, relaxed with PBE
Lines closer than 0.1° are merged.

Most intense lines, 2θ from 10° to 80°, sorted by position:
2theta  I/Imax
17.46  100.0
18.62  14.8
21.66  18.7
28.91  29.2
32.98  17.7
34.02  31.5
34.45  29.2
39.66  22.1
39.78  43.1
57.43  27.2

Structure:
abc: 5.5779 5.5779 10.0630
angles: 100.74 100.74 109.13
Positions (direct):
1 Na 0.0000 0.0000 0.0000
2 Na 0.0701 0.5808 0.1399
3 Na 0.1463 0.1610 0.3134
4 Na 0.3174 0.3179 0.6400
5 Na 0.5895 0.0960 0.1695
6 Na 0.7367 0.2465 0.4931
7 Na 0.8327 0.8291 0.6663
8 Na 0.9068 0.4085 0.8102
9 Pt 0.2377 0.7387 0.4861
10 Pt 0.4063 0.9058 0.8209
11 Pt 0.4999 0.4982 0.9863
12 Pt 0.6619 0.6735 0.3265
13 O 0.1236 0.6322 0.6581
14 O 0.2137 0.1843 0.8361
15 O 0.2846 0.7522 0.9806
16 O 0.3658 0.3786 0.1595
17 O 0.4144 0.8852 0.3383
18 O 0.4971 0.5452 0.4775
19 O 0.5379 0.0333 0.6548
20 O 0.6209 0.6694 0.8297
21 O 0.6863 0.2363 0.9710
22 O 0.7810 0.7810 0.1531
23 O 0.9250 0.4641 0.3376
24 O 0.9780 0.9531 0.4769


Simulated PXRD pattern
Compound: AgAsS16F6
Radiation: Cu Kα (λ = 1.5418 Å)
Structure: a crystal structure in the Materials Project, relaxed with PBE
Lines closer than 0.1° are merged.

Most intense lines, 2θ from 10° to 80°, sorted by position:
2theta  I/Imax
12.67  69.0
15.61  100.0
16.95  70.3
20.68  52.0
22.98  72.9
24.40  67.0
24.54  60.8
26.28  73.8
26.87  68.8
32.00  67.1

Structure:
abc: 10.0574 10.0574 16.1807
angles: 100.37 100.37 48.21
Positions (direct):
1 Ag 0.1644 0.8356 0.7500
2 Ag 0.8356 0.1644 0.2500
3 As 0.5000 0.5000 0.0000
4 As 0.5000 0.5000 0.5000
5 S 0.0020 0.2876 0.4375
6 S 0.0429 0.6383 0.8347
7 S 0.0650 0.6810 0.2865
8 S 0.0661 0.0986 0.1493
9 S 0.0895 0.2707 0.9193
10 S 0.0986 0.0661 0.6493
11 S 0.1007 0.7019 0.1701
12 S 0.1074 0.4977 0.6275
13 S 0.2203 0.5208 0.7435
14 S 0.2707 0.0895 0.4193
15 S 0.2876 0.0020 0.9375
16 S 0.2981 0.8993 0.3299
17 S 0.3190 0.9350 0.2135
18 S 0.3617 0.9571 0.6653
19 S 0.4792 0.7797 0.7565
20 S 0.4977 0.1074 0.1275
21 S 0.5023 0.8926 0.8725
22 S 0.5208 0.2203 0.2435
23 S 0.6383 0.0429 0.3347
24 S 0.6810 0.0650 0.7865
25 S 0.7019 0.1007 0.6701
26 S 0.7124 0.9980 0.0625
27 S 0.7293 0.9105 0.5807
28 S 0.7797 0.4792 0.2565
29 S 0.8926 0.5023 0.3725
30 S 0.8993 0.2981 0.8299
31 S 0.9014 0.9339 0.3507
32 S 0.9105 0.7293 0.0807
33 S 0.9339 0.9014 0.8507
34 S 0.9350 0.3190 0.7135
35 S 0.9571 0.3617 0.1653
36 S 0.9980 0.7124 0.5625
37 F 0.2755 0.6945 0.0189
38 F 0.3055 0.7245 0.4811
39 F 0.3729 0.4326 0.4682
40 F 0.4326 0.3729 0.9682
41 F 0.4467 0.5410 0.6062
42 F 0.4590 0.5533 0.8938
43 F 0.5410 0.4467 0.1062
44 F 0.5533 0.4590 0.3938
45 F 0.5674 0.6271 0.0318
46 F 0.6271 0.5674 0.5318
47 F 0.6945 0.2755 0.5189
48 F 0.7245 0.3055 0.9811


Simulated PXRD pattern
Compound: Ac3Zr
Radiation: Cu Kα (λ = 1.5418 Å)
Structure: a crystal structure in the Materials Project, relaxed with PBE
Lines closer than 0.1° are merged.

Most intense lines, 2θ from 10° to 80°, sorted by position:
2theta  I/Imax
18.60  7.7
28.99  100.0
33.51  17.2
33.64  34.0
48.25  37.8
57.16  15.3
57.33  30.4
60.08  13.2
78.04  12.6
78.18  6.3

Structure:
abc: 6.5419 6.5419 6.5419
angles: 131.94 131.94 70.33
Positions (direct):
1 Ac 0.0000 0.0000 0.0000
2 Ac 0.2500 0.7500 0.5000
3 Ac 0.7500 0.2500 0.5000
4 Zr 0.5000 0.5000 0.0000


Simulated PXRD pattern
Compound: ThPt3
Radiation: Cu Kα (λ = 1.5418 Å)
Structure: a crystal structure in the Materials Project, relaxed with PBE
Lines closer than 0.1° are merged.

Most intense lines, 2θ from 10° to 80°, sorted by position:
2theta  I/Imax
36.70  100.0
42.63  49.8
61.87  33.7
74.14  39.9
78.05  11.6

Structure:
abc: 4.2415 4.2415 4.2415
angles: 90.00 90.00 90.00
Positions (direct):
1 Th 0.0000 0.0000 0.0000
2 Pt 0.0000 0.5000 0.5000
3 Pt 0.5000 0.0000 0.5000
4 Pt 0.5000 0.5000 0.0000


Simulated PXRD pattern
Compound: Sr2AlIn3
Radiation: Cu Kα (λ = 1.5418 Å)
Structure: a crystal structure in the Materials Project, relaxed with PBE
Lines closer than 0.1° are merged.

Most intense lines, 2θ from 10° to 80°, sorted by position:
2theta  I/Imax
23.28  25.9
30.32  100.0
35.81  80.7
39.56  25.5
47.61  28.0
58.94  13.8
60.97  26.3
61.58  10.7
64.34  14.0
66.86  10.3

Structure:
abc: 5.0154 5.0154 8.0280
angles: 90.00 90.00 120.00
Positions (direct):
1 Sr 0.0000 0.0000 0.0000
2 Sr 0.0000 0.0000 0.4930
3 Al 0.3333 0.6667 0.2957
4 In 0.3333 0.6667 0.6956
5 In 0.6667 0.3333 0.2098
6 In 0.6667 0.3333 0.7940


Simulated PXRD pattern
Compound: Er2TiO5
Radiation: Cu Kα (λ = 1.5418 Å)
Structure: a crystal structure in the Materials Project, relaxed with PBE
Lines closer than 0.1° are merged.

Most intense lines, 2θ from 10° to 80°, sorted by position:
2theta  I/Imax
16.19  26.7
16.97  41.0
23.31  96.8
30.41  100.0
32.71  24.3
32.95  55.1
34.87  60.2
44.50  28.5
54.37  45.1
54.85  37.5

Structure:
abc: 5.8420 5.8420 10.4513
angles: 90.00 90.00 139.21
Positions (direct):
1 Er 0.1426 0.8574 0.5694
2 Er 0.1426 0.8574 0.9306
3 Er 0.8574 0.1426 0.0694
4 Er 0.8574 0.1426 0.4306
5 Ti 0.1731 0.8269 0.2500
6 Ti 0.8269 0.1731 0.7500
7 O 0.0516 0.9484 0.1235
8 O 0.0516 0.9484 0.3765
9 O 0.2716 0.7284 0.7500
10 O 0.2915 0.7085 0.0902
11 O 0.2915 0.7085 0.4098
12 O 0.7085 0.2915 0.5902
13 O 0.7085 0.2915 0.9098
14 O 0.7284 0.2716 0.2500
15 O 0.9484 0.0516 0.6235
16 O 0.9484 0.0516 0.8765